(1)
# Nd3SmAs4
Theoretical PXRD pattern, CuKα. Input: a structure optimized by DFT (GGA-PBE).
No peak broadening, texture or thermal motion is included.

Structure:
Unit cell a=7.374 b=7.374 c=4.261 alpha=90.00 beta=90.00 gamma=109.45
Fractional coordinates of all 8 atoms:
Nd 0.000 0.000 0.000
Nd 0.000 0.500 0.500
Nd 0.500 0.000 0.500
Sm 0.500 0.500 0.000
As 0.251 0.749 0.000
As 0.252 0.252 0.500
As 0.748 0.748 0.500
As 0.749 0.251 0.000

Top 10 peaks for 2θ from 10° to 90°, in order of falling intensity:
two_theta  Rel. int.
29.7  100
42.5  75
69.8  34
52.6  27
77.7  25
25.6  18
61.6  12
50.2  9
67.8  4
83.4  3


(2)
# Dy4B4O11F2
Theoretical PXRD pattern, CuKα. Input: a structure optimized by DFT (GGA-PBE).
No peak broadening, texture or thermal motion is included.

Structure:
Unit cell a=7.134 b=7.134 c=13.710 alpha=91.13 beta=91.13 gamma=37.89
Fractional coordinates of all 42 atoms:
Dy 0.042 0.077 0.371
Dy 0.077 0.042 0.871
Dy 0.206 0.232 0.132
Dy 0.232 0.206 0.632
Dy 0.768 0.794 0.368
Dy 0.794 0.768 0.868
Dy 0.923 0.958 0.129
Dy 0.958 0.923 0.629
B 0.361 0.446 0.477
B 0.380 0.434 0.787
B 0.434 0.380 0.287
B 0.446 0.361 0.977
B 0.554 0.639 0.023
B 0.566 0.620 0.713
B 0.620 0.566 0.213
B 0.639 0.554 0.523
O 0.087 0.754 0.466
O 0.123 0.680 0.276
O 0.136 0.512 0.744
O 0.246 0.913 0.034
O 0.274 0.550 0.895
O 0.320 0.447 0.068
O 0.320 0.877 0.224
O 0.337 0.663 0.750
O 0.447 0.320 0.568
O 0.450 0.726 0.605
O 0.488 0.864 0.756
O 0.512 0.136 0.244
O 0.550 0.274 0.395
O 0.553 0.680 0.432
O 0.663 0.337 0.250
O 0.680 0.123 0.776
O 0.680 0.553 0.932
O 0.726 0.450 0.105
O 0.754 0.087 0.966
O 0.864 0.488 0.256
O 0.877 0.320 0.724
O 0.913 0.246 0.534
F 0.201 0.259 0.421
F 0.259 0.201 0.921
F 0.741 0.799 0.079
F 0.799 0.741 0.579

Top 12 peaks for 2θ from 10° to 90°, in order of falling intensity:
two_theta  Rel. int.
30.8  100
30.4  94
20.3  82
26.0  82
33.1  49
29.3  49
47.4  48
38.9  39
29.8  38
49.2  33
51.3  32
47.6  32